[1]
Structure and theoretical XRD peak list of TbUO5 (a crystal structure in Alexandria, relaxed with GGA-PBE; Cu Kα (weighted mean of Kα1 and Kα2)).
Lines closer than 0.1° are merged.

Largest 12 diffraction maxima, by angle, 10 to 90 degrees two-theta:
2θ = 21.2°, rel. 82, (0 0 2)
2θ = 25.3°, rel. 100, (1 1 0)
2θ = 26.8°, rel. 49, (0 2 0)
2θ = 33.2°, rel. 68, (1 1 2)
2θ = 34.4°, rel. 36, (0 2 2)
2θ = 43.2°, rel. 17, (0 0 4)
2θ = 46.4°, rel. 24, (1 3 0)
2θ = 49.0°, rel. 18, (2 0 2)
2θ = 50.7°, rel. 31, (1 1 4)
2θ = 51.5°, rel. 43, (0 2 4)
2θ = 56.7°, rel. 19, (2 2 2)
2θ = 65.2°, rel. 17, (1 3 4)

Structure:
Cell: 4.148 6.662 8.380 Å, 90.00 90.00 90.00°
Space group Immm (No. 71)
One atom of each set of equivalent atoms:
Tb  0.000  0.000  0.000 x2
U  0.000  0.000  0.500 x2
O  0.000  0.000  0.264 x4
O  0.000  0.311  0.500 x4
O  0.000  0.500  0.000 x2


[2]
Structure and theoretical XRD peak list of ZrInSe2 (a crystal structure in Alexandria, relaxed with GGA-PBE; Cu Kα (weighted mean of Kα1 and Kα2)).
Lines closer than 0.1° are merged.

Largest 12 diffraction maxima, by angle, 10 to 90 degrees two-theta:
2θ = 23.5°, rel. 52, (1 0 4)
2θ = 27.6°, rel. 48, (1 0 5)
2θ = 28.3°, rel. 46, (2 0 1)
2θ = 29.2°, rel. 55, (0 1 3)
2θ = 29.4°, rel. 47, (1 1 1)
2θ = 37.8°, rel. 100, (1 1 5)
2θ = 38.0°, rel. 49, (2 1 0)
2θ = 40.8°, rel. 33, (2 1 3)
2θ = 41.2°, rel. 38, (1 1 6)
2θ = 46.8°, rel. 34, (3 0 4)
2θ = 52.1°, rel. 29, (0 2 0)
2θ = 59.2°, rel. 29, (0 0 12)

Structure:
Cell: 6.403 3.511 18.726 Å, 90.00 90.00 90.00°
Space group Pnma (No. 62)
One atom of each set of equivalent atoms:
Zr  0.240  0.250  0.197 x4
In  0.189  0.750  0.459 x4
Se  0.072  0.750  0.295 x4
Se  0.120  0.750  0.097 x4


[3]
Structure and theoretical XRD peak list of RbGe2Ir (a crystal structure in Alexandria, relaxed with GGA-PBE; Cu Kα (weighted mean of Kα1 and Kα2)).
Lines closer than 0.1° are merged.

Largest 12 diffraction maxima, by angle, 10 to 90 degrees two-theta:
2θ = 15.3°, rel. 79, (1 0 1)
2θ = 23.7°, rel. 100, (1 1 2)
2θ = 27.7°, rel. 34, (2 0 0)
2θ = 30.9°, rel. 16, (2 0 2)
2θ = 37.3°, rel. 18, (2 1 3)
2θ = 39.0°, rel. 27, (2 0 4)
2θ = 45.6°, rel. 18, (1 1 6)
2θ = 46.7°, rel. 33, (3 1 2)
2θ = 48.5°, rel. 35, (2 2 4)
2θ = 55.4°, rel. 12, (0 0 8)
2θ = 61.9°, rel. 14, (3 1 6)
2θ = 62.8°, rel. 11, (3 3 2)

Structure:
Cell: 6.440 6.440 13.269 Å, 90.00 90.00 90.00°
Space group I4_1/amd (No. 141, origin choice 2)
One atom of each set of equivalent atoms:
Rb  0.000  0.250  0.375 x4
Ge  0.000  0.000  0.000 x8
Ir  0.000  0.250  0.875 x4


[4]
Structure and theoretical XRD peak list of FeAg3C6N6 (a crystal structure in Alexandria, relaxed with GGA-PBE; Cu Kα (weighted mean of Kα1 and Kα2)).
Lines closer than 0.1° are merged.

Largest 12 diffraction maxima, by angle, 10 to 90 degrees two-theta:
2θ = 12.9°, rel. 65, (0 0 1)
2θ = 18.8°, rel. 100, (1 0 1)
2θ = 26.1°, rel. 16, (0 0 2)
2θ = 27.1°, rel. 46, (2 -1 1)
2θ = 27.4°, rel. 76, (2 0 0)
2θ = 30.4°, rel. 67, (2 0 1)
2θ = 38.2°, rel. 73, (2 0 2)
2θ = 38.9°, rel. 23, (3 -1 1)
2θ = 48.7°, rel. 15, (2 0 3)
2θ = 50.3°, rel. 16, (4 -2 1)
2θ = 55.8°, rel. 27, (4 -2 2)
2θ = 61.2°, rel. 16, (2 0 4)

Structure:
Cell: 7.5221 7.5221 6.8409 Å, 90.00 90.00 120.00°
Space group P-31m (No. 162)
One atom of each set of equivalent atoms:
Fe  0.0000  0.0000  0.0000 x1
Ag  0.0000  0.5000  0.5000 x3
C  0.0000  0.2027  0.1654 x6
N  0.0000  0.3223  0.2753 x6


[5]
Structure and theoretical XRD peak list of AlGa5Ag4 (a crystal structure in Alexandria, relaxed with GGA-PBE; Cu Kα (weighted mean of Kα1 and Kα2)).
Lines closer than 0.1° are merged.

Largest 12 diffraction maxima, by angle, 10 to 90 degrees two-theta:
2θ = 32.4°, rel. 13, (0 1 -3)
2θ = 34.5°, rel. 35, (0 1 -4)
2θ = 38.7°, rel. 100, (1 0 5)
2θ = 43.7°, rel. 40, (-1 1 1)
2θ = 44.0°, rel. 23, (0 0 10)
2θ = 44.3°, rel. 8, (1 1 2)
2θ = 61.0°, rel. 12, (1 -1 9)
2θ = 66.5°, rel. 12, (-1 1 11)
2θ = 77.0°, rel. 11, (2 -1 4)
2θ = 77.3°, rel. 8, (1 0 15)
2θ = 79.5°, rel. 7, (-2 1 6)
2θ = 83.0°, rel. 9, (2 0 10)

Structure:
Cell: 2.818 3.070 20.609 Å, 88.03 89.99 89.99°
Space group P-1 (No. 2)
One atom of each set of equivalent atoms:
Al  0.000  0.000  0.000 x1
Ga  0.496  0.724  0.703 x2
Ga  0.497  0.523  0.904 x2
Ga  0.500  0.000  0.500 x1
Ag  0.002  0.625  0.400 x2
Ag  0.005  0.914  0.196 x2


[6]
Structure and theoretical XRD peak list of ZrNiSnS3 (a crystal structure in Alexandria, relaxed with GGA-PBE; Cu Kα (weighted mean of Kα1 and Kα2)).
Lines closer than 0.1° are merged.

Largest 12 diffraction maxima, by angle, 10 to 90 degrees two-theta:
2θ = 11.6°, rel. 49, (1 0 0)
2θ = 13.1°, rel. 68, (1 0 -1)
2θ = 20.5°, rel. 32, (1 0 -2)
2θ = 20.7°, rel. 28, (0 0 2)
2θ = 26.3°, rel. 33, (0 1 1)
2θ = 33.3°, rel. 51, (2 1 -1)
2θ = 33.9°, rel. 100, (2 1 0)
2θ = 36.7°, rel. 36, (1 0 3)
2θ = 37.6°, rel. 26, (2 1 1)
2θ = 38.8°, rel. 82, (1 1 -3)
2θ = 43.3°, rel. 29, (3 1 -2)
2θ = 49.5°, rel. 32, (0 2 0)

Structure:
Cell: 7.958 3.686 9.006 Å, 90.00 107.32 90.00°
Space group P2_1/m (No. 11)
One atom of each set of equivalent atoms:
Zr  0.177  0.250  0.160 x2
Ni  0.434  0.750  0.383 x2
Sn  0.330  0.750  0.696 x2
S  0.056  0.250  0.851 x2
S  0.274  0.250  0.454 x2
S  0.393  0.750  0.126 x2


[7]
Structure and theoretical XRD peak list of VZnTe2Ir (a crystal structure in Alexandria, relaxed with GGA-PBE; Cu Kα (weighted mean of Kα1 and Kα2)).
Lines closer than 0.1° are merged.

Largest 12 diffraction maxima, by angle, 10 to 90 degrees two-theta:
2θ = 26.1°, rel. 22, (1 0 1)
2θ = 31.7°, rel. 100, (1 1 1)
2θ = 35.8°, rel. 54, (2 0 0)
2θ = 38.6°, rel. 22, (0 0 2)
2θ = 44.8°, rel. 10, (2 1 1)
2θ = 51.5°, rel. 19, (2 2 0)
2θ = 53.6°, rel. 33, (2 0 2)
2θ = 61.8°, rel. 30, (3 1 1)
2θ = 65.5°, rel. 12, (1 1 3)
2θ = 66.2°, rel. 17, (2 2 2)
2θ = 86.9°, rel. 8, (4 2 0)
2θ = 87.9°, rel. 12, (3 1 3)

Structure:
Cell: 5.015 5.015 4.668 Å, 90.00 90.00 90.00°
Space group P4/mmm (No. 123)
One atom of each set of equivalent atoms:
V  0.000  0.000  0.000 x1
Zn  0.000  0.000  0.500 x1
Te  0.000  0.500  0.000 x2
Ir  0.500  0.500  0.500 x1


[8]
Structure and theoretical XRD peak list of K2Ga7Sn (a crystal structure in Alexandria, relaxed with GGA-PBE; Cu Kα (weighted mean of Kα1 and Kα2)).
Lines closer than 0.1° are merged.

Largest 12 diffraction maxima, by angle, 10 to 90 degrees two-theta:
2θ = 15.5°, rel. 30, (0 0 2)
2θ = 21.0°, rel. 28, (1 0 1)
2θ = 30.6°, rel. 30, (1 0 3)
2θ = 31.9°, rel. 100, (1 1 2)
2θ = 39.6°, rel. 65, (2 0 0)
2θ = 42.3°, rel. 62, (1 1 4)
2θ = 44.3°, rel. 21, (1 0 5)
2θ = 50.9°, rel. 14, (2 1 3)
2θ = 57.3°, rel. 22, (2 2 0)
2θ = 60.9°, rel. 15, (2 1 5)
2θ = 67.1°, rel. 22, (3 1 2)
2θ = 73.7°, rel. 24, (3 1 4)

Structure:
Cell: 4.549 4.549 11.449 Å, 90.00 90.00 90.00°
Space group P-4m2 (No. 115)
One atom of each set of equivalent atoms:
K  0.000  0.500  0.243 x2
Ga  0.000  0.000  0.000 x1
Ga  0.000  0.500  0.646 x2
Ga  0.000  0.500  0.873 x2
Ga  0.500  0.500  0.000 x1
Ga  0.500  0.500  0.500 x1
Sn  0.000  0.000  0.500 x1